(1)
Structure and calculated X-ray diffraction stick pattern of Pa3PSe5 (a DFT-relaxed cell (PBE, Alexandria); Cu Kα X-rays).
Neutral-atom scattering factors, no anomalous dispersion.

Principal peaks in the range 15° ≤ 2θ ≤ 90°, by intensity:
| 2θ/deg | d (Å) | I/Imax | (hkl) |
| --- | --- | --- | --- |
| 18.95 | 4.684 | 100 | 0 2 0 |
| 36.69 | 2.449 | 58 | 1 3 2 |
| 20.25 | 4.386 | 55 | 2 0 -2 |
| 24.47 | 3.638 | 54 | 1 1 2 |
| 25.14 | 3.542 | 47 | 3 1 0 |
| 37.16 | 2.419 | 44 | 3 3 0 |
| 38.46 | 2.341 | 35 | 0 4 0 |
| 32.07 | 2.791 | 33 | 3 1 -3 |
| 41.66 | 2.168 | 31 | 4 0 2 |
| 28.04 | 3.182 | 21 | 2 2 1 |

```
data_Pa3PSe5
_cell_length_a 12.097
_cell_length_b 9.367
_cell_length_c 9.944
_cell_angle_alpha 90.00
_cell_angle_beta 108.38
_cell_angle_gamma 90.00
_symmetry_space_group_name_H-M 'C 1 2/m 1'
_symmetry_Int_Tables_number 12
_symmetry_space_group_name_Hall '-C 2y'
loop_
_atom_site_label
_atom_site_type_symbol
_atom_site_fract_x
_atom_site_fract_y
_atom_site_fract_z
Pa1 Pa 0.000 0.000 0.000
Pa2 Pa 0.000 0.000 0.500
Pa3 Pa 0.164 0.500 0.163
Pa4 Pa 0.201 0.500 0.595
P1 P 0.067 0.000 0.276
Se1 Se 0.000 0.304 0.000
Se2 Se 0.018 0.500 0.335
Se3 Se 0.193 0.185 0.624
Se4 Se 0.244 0.000 0.070
```

(2)
Structure and calculated X-ray diffraction stick pattern of Pa5PSe4 (a DFT-relaxed cell (PBE, Alexandria); Cu Kα X-rays).
Neutral-atom scattering factors, no anomalous dispersion.

Principal peaks in the range 15° ≤ 2θ ≤ 90°, by intensity:
| 2θ/deg | d (Å) | I/Imax | (hkl) |
| --- | --- | --- | --- |
| 31.22 | 2.865 | 100 | 1 1 0 |
| 44.73 | 2.026 | 75 | 2 0 0 |
| 26.95 | 3.308 | 52 | 1 0 5 |
| 73.98 | 1.281 | 34 | 3 1 0 |
| 55.56 | 1.654 | 27 | 2 0 10 |
| 53.00 | 1.728 | 26 | 2 1 5 |
| 82.46 | 1.170 | 26 | 3 1 10 |
| 65.12 | 1.432 | 12 | 2 2 0 |
| 71.81 | 1.315 | 11 | 3 0 5 |
| 88.71 | 1.103 | 9 | 3 2 5 |

```
data_Pa5PSe4
_cell_length_a 4.051
_cell_length_b 4.051
_cell_length_c 28.666
_cell_angle_alpha 90.00
_cell_angle_beta 90.00
_cell_angle_gamma 90.00
_symmetry_space_group_name_H-M 'I 4/m m m'
_symmetry_Int_Tables_number 139
_symmetry_space_group_name_Hall '-I 4 2'
loop_
_atom_site_label
_atom_site_type_symbol
_atom_site_fract_x
_atom_site_fract_y
_atom_site_fract_z
Pa1 Pa 0.000 0.000 0.000
Pa2 Pa 0.000 0.000 0.201
Pa3 Pa 0.000 0.000 0.404
P1 P 0.000 0.000 0.500
Se1 Se 0.000 0.000 0.100
Se2 Se 0.000 0.000 0.302
```

(3)
Structure and calculated X-ray diffraction stick pattern of TmPaPSe (a DFT-relaxed cell (PBE, Alexandria); Cu Kα X-rays).
Neutral-atom scattering factors, no anomalous dispersion.

Principal peaks in the range 15° ≤ 2θ ≤ 90°, by intensity:
| 2θ/deg | d (Å) | I/Imax | (hkl) |
| --- | --- | --- | --- |
| 34.03 | 2.634 | 100 | 0 1 5 |
| 26.92 | 3.312 | 58 | 1 0 1 |
| 46.94 | 1.936 | 49 | 1 1 0 |
| 31.54 | 2.837 | 46 | 1 0 4 |
| 40.03 | 2.253 | 33 | 1 0 7 |
| 27.90 | 3.198 | 30 | 0 1 2 |
| 25.10 | 3.548 | 23 | 0 0 6 |
| 59.24 | 1.560 | 21 | 2 0 5 |
| 50.80 | 1.797 | 19 | 1 0 10 |
| 72.23 | 1.308 | 19 | 1 1 12 |

```
data_TmPaPSe
_cell_length_a 3.8714
_cell_length_b 3.8714
_cell_length_c 21.2900
_cell_angle_alpha 90.00
_cell_angle_beta 90.00
_cell_angle_gamma 120.00
_symmetry_space_group_name_H-M 'R 3 m'
_symmetry_Int_Tables_number 160
_symmetry_space_group_name_Hall 'R 3 -2"'
loop_
_atom_site_label
_atom_site_type_symbol
_atom_site_fract_x
_atom_site_fract_y
_atom_site_fract_z
Tm1 Tm 0.0000 0.0000 0.0000
Pa1 Pa 0.0000 0.0000 0.8151
P1 P 0.0000 0.0000 0.4060
Se1 Se 0.0000 0.0000 0.2417
```

(4)
Structure and calculated X-ray diffraction stick pattern of UPaPSe (a DFT-relaxed cell (PBE, Alexandria); Cu Kα X-rays).
Neutral-atom scattering factors, no anomalous dispersion.

Principal peaks in the range 15° ≤ 2θ ≤ 90°, by intensity:
| 2θ/deg | d (Å) | I/Imax | (hkl) |
| --- | --- | --- | --- |
| 36.45 | 2.465 | 100 | 2 2 0 |
| 25.55 | 3.486 | 45 | 2 0 0 |
| 65.60 | 1.423 | 37 | 4 2 2 |
| 59.27 | 1.559 | 19 | 4 2 0 |
| 52.50 | 1.743 | 18 | 4 0 0 |
| 88.75 | 1.102 | 18 | 6 2 0 |
| 45.04 | 2.013 | 14 | 2 2 2 |
| 77.44 | 1.232 | 12 | 4 4 0 |
| 83.13 | 1.162 | 10 | 6 0 0 |
| 22.08 | 4.025 | 2 | 1 1 1 |

```
data_UPaPSe
_cell_length_a 6.972
_cell_length_b 6.972
_cell_length_c 6.972
_cell_angle_alpha 90.00
_cell_angle_beta 90.00
_cell_angle_gamma 90.00
_symmetry_space_group_name_H-M 'F -4 3 m'
_symmetry_Int_Tables_number 216
_symmetry_space_group_name_Hall 'F -4 2 3'
loop_
_atom_site_label
_atom_site_type_symbol
_atom_site_fract_x
_atom_site_fract_y
_atom_site_fract_z
U1 U 0.000 0.000 0.000
Pa1 Pa 0.000 0.000 0.500
P1 P 0.250 0.250 0.750
Se1 Se 0.250 0.250 0.250
```

(5)
Structure and calculated X-ray diffraction stick pattern of SmPa2P (a DFT-relaxed cell (PBE, Alexandria); Cu Kα X-rays).
Neutral-atom scattering factors, no anomalous dispersion.

Principal peaks in the range 15° ≤ 2θ ≤ 90°, by intensity:
| 2θ/deg | d (Å) | I/Imax | (hkl) |
| --- | --- | --- | --- |
| 29.86 | 2.992 | 100 | 1 0 1 |
| 42.21 | 2.141 | 64 | 1 0 10 |
| 26.30 | 3.389 | 62 | 0 0 9 |
| 38.12 | 2.361 | 46 | 0 1 8 |
| 59.87 | 1.545 | 40 | 1 1 9 |
| 52.74 | 1.736 | 37 | 1 1 0 |
| 30.30 | 2.950 | 36 | 0 1 2 |
| 33.22 | 2.697 | 36 | 0 1 5 |
| 78.95 | 1.213 | 21 | 1 1 18 |
| 44.45 | 2.038 | 18 | 0 1 11 |

```
data_SmPa2P
_cell_length_a 3.4715
_cell_length_b 3.4715
_cell_length_c 30.5010
_cell_angle_alpha 90.00
_cell_angle_beta 90.00
_cell_angle_gamma 120.00
_symmetry_space_group_name_H-M 'R -3 m'
_symmetry_Int_Tables_number 166
_symmetry_space_group_name_Hall '-R 3 2"'
loop_
_atom_site_label
_atom_site_type_symbol
_atom_site_fract_x
_atom_site_fract_y
_atom_site_fract_z
Sm1 Sm 0.0000 0.0000 0.0000
Pa1 Pa 0.0000 0.0000 0.1060
P1 P 0.0000 0.0000 0.5000
```

(6)
Structure and calculated X-ray diffraction stick pattern of SmPaP (a DFT-relaxed cell (PBE, Alexandria); Cu Kα X-rays).
Neutral-atom scattering factors, no anomalous dispersion.

Principal peaks in the range 15° ≤ 2θ ≤ 90°, by intensity:
| 2θ/deg | d (Å) | I/Imax | (hkl) |
| --- | --- | --- | --- |
| 34.32 | 2.613 | 100 | 2 0 0 |
| 28.25 | 3.160 | 100 | 1 1 0 |
| 25.23 | 3.530 | 42 | 1 0 -2 |
| 41.82 | 2.160 | 33 | 2 1 -2 |
| 34.00 | 2.637 | 26 | 1 1 -2 |
| 35.78 | 2.509 | 22 | 1 0 2 |
| 45.76 | 1.983 | 19 | 0 2 0 |
| 58.42 | 1.580 | 18 | 2 2 0 |
| 25.66 | 3.472 | 16 | 0 0 2 |
| 56.05 | 1.641 | 16 | 2 1 2 |

```
data_SmPaP
_cell_length_a 5.597
_cell_length_b 3.965
_cell_length_c 7.433
_cell_angle_alpha 90.00
_cell_angle_beta 110.90
_cell_angle_gamma 90.00
_symmetry_space_group_name_H-M 'P 1 21/m 1'
_symmetry_Int_Tables_number 11
_symmetry_space_group_name_Hall '-P 2yb'
loop_
_atom_site_label
_atom_site_type_symbol
_atom_site_fract_x
_atom_site_fract_y
_atom_site_fract_z
Sm1 Sm 0.229 0.250 0.431
Pa1 Pa 0.250 0.250 0.910
P1 P 0.290 0.750 0.182
```

(7)
Structure and calculated X-ray diffraction stick pattern of Sr4Pa3P8 (a DFT-relaxed cell (PBE, Alexandria); Cu Kα X-rays).
Neutral-atom scattering factors, no anomalous dispersion.

Principal peaks in the range 15° ≤ 2θ ≤ 90°, by intensity:
| 2θ/deg | d (Å) | I/Imax | (hkl) |
| --- | --- | --- | --- |
| 29.49 | 3.029 | 100 | 0 2 4 |
| 25.11 | 3.547 | 98 | 0 2 1 |
| 43.65 | 2.074 | 64 | 2 2 0 |
| 37.50 | 2.398 | 63 | 0 2 7 |
| 40.69 | 2.217 | 56 | 2 0 8 |
| 24.51 | 3.631 | 52 | 1 1 3 |
| 26.04 | 3.422 | 48 | 2 0 2 |
| 23.67 | 3.758 | 41 | 0 0 6 |
| 50.25 | 1.816 | 36 | 2 2 6 |
| 31.85 | 2.810 | 28 | 2 0 5 |

```
data_Sr4Pa3P8
_cell_length_a 8.2948
_cell_length_b 8.2948
_cell_length_c 22.5486
_cell_angle_alpha 90.00
_cell_angle_beta 90.00
_cell_angle_gamma 120.00
_symmetry_space_group_name_H-M 'R -3 m'
_symmetry_Int_Tables_number 166
_symmetry_space_group_name_Hall '-R 3 2"'
loop_
_atom_site_label
_atom_site_type_symbol
_atom_site_fract_x
_atom_site_fract_y
_atom_site_fract_z
Sr1 Sr 0.0000 0.0000 0.0000
Sr2 Sr 0.0000 0.0000 0.1489
Sr3 Sr 0.0000 0.0000 0.5000
Pa1 Pa 0.0000 0.5000 0.0000
P1 P 0.0000 0.0000 0.2762
P2 P 0.0258 0.5129 0.2637
```

(8)
Structure and calculated X-ray diffraction stick pattern of PaTc2P3 (a DFT-relaxed cell (PBE, Alexandria); Cu Kα X-rays).
Neutral-atom scattering factors, no anomalous dispersion.

Principal peaks in the range 15° ≤ 2θ ≤ 90°, by intensity:
| 2θ/deg | d (Å) | I/Imax | (hkl) |
| --- | --- | --- | --- |
| 39.50 | 2.281 | 100 | 1 1 2 |
| 29.08 | 3.070 | 91 | 0 0 2 |
| 34.81 | 2.578 | 86 | 1 2 1 |
| 26.15 | 3.408 | 82 | 1 1 0 |
| 43.40 | 2.085 | 71 | 1 2 2 |
| 24.71 | 3.602 | 66 | 0 2 1 |
| 30.14 | 2.965 | 61 | 0 3 0 |
| 42.38 | 2.133 | 59 | 0 3 2 |
| 41.76 | 2.163 | 58 | 1 3 1 |
| 49.39 | 1.845 | 52 | 2 0 0 |

```
data_PaTc2P3
_cell_length_a 3.690
_cell_length_b 8.896
_cell_length_c 6.141
_cell_angle_alpha 90.00
_cell_angle_beta 90.00
_cell_angle_gamma 90.00
_symmetry_space_group_name_H-M 'P m c 21'
_symmetry_Int_Tables_number 26
_symmetry_space_group_name_Hall 'P 2c -2'
loop_
_atom_site_label
_atom_site_type_symbol
_atom_site_fract_x
_atom_site_fract_y
_atom_site_fract_z
Pa1 Pa 0.000 0.137 0.000
Tc1 Tc 0.000 0.233 0.516
Tc2 Tc 0.500 0.498 0.011
P1 P 0.000 0.417 0.782
P2 P 0.500 0.084 0.647
P3 P 0.500 0.282 0.277
```

(9)
Structure and calculated X-ray diffraction stick pattern of Pa2TcP5 (a DFT-relaxed cell (PBE, Alexandria); Cu Kα X-rays).
Neutral-atom scattering factors, no anomalous dispersion.

Principal peaks in the range 15° ≤ 2θ ≤ 90°, by intensity:
| 2θ/deg | d (Å) | I/Imax | (hkl) |
| --- | --- | --- | --- |
| 30.27 | 2.952 | 100 | 0 2 2 |
| 37.60 | 2.392 | 98 | 2 2 2 |
| 32.33 | 2.769 | 91 | 2 0 2 |
| 28.84 | 3.096 | 91 | 2 2 0 |
| 18.68 | 4.749 | 58 | 0 2 0 |
| 50.64 | 1.803 | 53 | 2 4 2 |
| 37.89 | 2.375 | 51 | 0 4 0 |
| 21.77 | 4.082 | 38 | 2 0 0 |
| 54.67 | 1.679 | 35 | 4 2 2 |
| 44.38 | 2.041 | 29 | 4 0 0 |

```
data_Pa2TcP5
_cell_length_a 8.164
_cell_length_b 9.499
_cell_length_c 7.537
_cell_angle_alpha 90.00
_cell_angle_beta 90.00
_cell_angle_gamma 90.00
_symmetry_space_group_name_H-M 'F m m 2'
_symmetry_Int_Tables_number 42
_symmetry_space_group_name_Hall 'F 2 -2'
loop_
_atom_site_label
_atom_site_type_symbol
_atom_site_fract_x
_atom_site_fract_y
_atom_site_fract_z
Pa1 Pa 0.250 0.250 0.000
Tc1 Tc 0.000 0.000 0.210
P1 P 0.000 0.000 0.916
P2 P 0.000 0.248 0.248
P3 P 0.206 0.000 0.711
```

(10)
Structure and calculated X-ray diffraction stick pattern of Th2PaP3 (a DFT-relaxed cell (PBE, Alexandria); Cu Kα X-rays).
Neutral-atom scattering factors, no anomalous dispersion.

Principal peaks in the range 15° ≤ 2θ ≤ 90°, by intensity:
| 2θ/deg | d (Å) | I/Imax | (hkl) |
| --- | --- | --- | --- |
| 26.74 | 3.334 | 100 | 2 2 0 |
| 30.98 | 2.887 | 92 | 2 0 6 |
| 44.38 | 2.041 | 69 | 4 0 0 |
| 52.57 | 1.741 | 51 | 4 2 6 |
| 73.33 | 1.291 | 32 | 2 8 6 |
| 55.10 | 1.667 | 24 | 4 4 0 |
| 81.70 | 1.179 | 24 | 4 8 0 |
| 71.18 | 1.325 | 21 | 6 2 0 |
| 87.86 | 1.111 | 17 | 6 6 0 |
| 64.56 | 1.443 | 11 | 0 8 0 |

```
data_Th2PaP3
_cell_length_a 8.161
_cell_length_b 11.552
_cell_length_c 24.502
_cell_angle_alpha 90.00
_cell_angle_beta 90.00
_cell_angle_gamma 90.00
_symmetry_space_group_name_H-M 'F d d d'
_symmetry_Int_Tables_number 70
loop_
_symmetry_equiv_pos_as_xyz
'x,y,z'
'-x,-y,-z'
'-x+1/4,-y+1/4,z'
'x+1/4,y+1/4,-z'
'x,-y+1/4,-z+1/4'
'-x,y+1/4,z+1/4'
'-x+1/4,y,-z+1/4'
'x+1/4,-y,z+1/4'
'x,y+1/2,z+1/2'
'-x,-y+1/2,-z+1/2'
'-x+1/4,-y+3/4,z+1/2'
'x+1/4,y+3/4,-z+1/2'
'x,-y+3/4,-z+3/4'
'-x,y+3/4,z+3/4'
'-x+1/4,y+1/2,-z+3/4'
'x+1/4,-y+1/2,z+3/4'
'x+1/2,y,z+1/2'
'-x+1/2,-y,-z+1/2'
'-x+3/4,-y+1/4,z+1/2'
'x+3/4,y+1/4,-z+1/2'
'x+1/2,-y+1/4,-z+3/4'
'-x+1/2,y+1/4,z+3/4'
'-x+3/4,y,-z+3/4'
'x+3/4,-y,z+3/4'
'x+1/2,y+1/2,z'
'-x+1/2,-y+1/2,-z'
'-x+3/4,-y+3/4,z'
'x+3/4,y+3/4,-z'
'x+1/2,-y+3/4,-z+1/4'
'-x+1/2,y+3/4,z+1/4'
'-x+3/4,y+1/2,-z+1/4'
'x+3/4,-y+1/2,z+1/4'
loop_
_atom_site_label
_atom_site_type_symbol
_atom_site_fract_x
_atom_site_fract_y
_atom_site_fract_z
Th1 Th 0.125 0.125 0.043
Th2 Th 0.125 0.125 0.374
Pa1 Pa 0.125 0.125 0.542
P1 P 0.114 0.375 0.875
P2 P 0.120 0.370 0.710
```

(11)
Structure and calculated X-ray diffraction stick pattern of Pa2TlP (a DFT-relaxed cell (PBE, Alexandria); Cu Kα X-rays).
Neutral-atom scattering factors, no anomalous dispersion.

Principal peaks in the range 15° ≤ 2θ ≤ 90°, by intensity:
| 2θ/deg | d (Å) | I/Imax | (hkl) |
| --- | --- | --- | --- |
| 31.31 | 2.857 | 100 | 1 0 4 |
| 39.65 | 2.273 | 36 | 0 1 8 |
| 33.01 | 2.713 | 34 | 0 1 5 |
| 49.64 | 1.836 | 32 | 1 1 0 |
| 30.95 | 2.889 | 24 | 0 0 9 |
| 59.66 | 1.550 | 24 | 1 1 9 |
| 54.18 | 1.693 | 22 | 1 0 13 |
| 59.87 | 1.545 | 16 | 0 2 4 |
| 28.27 | 3.157 | 15 | 1 0 1 |
| 81.40 | 1.182 | 14 | 2 1 4 |

```
data_Pa2TlP
_cell_length_a 3.6729
_cell_length_b 3.6729
_cell_length_c 26.0020
_cell_angle_alpha 90.00
_cell_angle_beta 90.00
_cell_angle_gamma 120.00
_symmetry_space_group_name_H-M 'R -3 m'
_symmetry_Int_Tables_number 166
_symmetry_space_group_name_Hall '-R 3 2"'
loop_
_atom_site_label
_atom_site_type_symbol
_atom_site_fract_x
_atom_site_fract_y
_atom_site_fract_z
Pa1 Pa 0.0000 0.0000 0.2329
Tl1 Tl 0.0000 0.0000 0.0000
P1 P 0.0000 0.0000 0.5000
```

(12)
Structure and calculated X-ray diffraction stick pattern of Tm4PaP5 (a DFT-relaxed cell (PBE, Alexandria); Cu Kα X-rays).
Neutral-atom scattering factors, no anomalous dispersion.

Principal peaks in the range 15° ≤ 2θ ≤ 90°, by intensity:
| 2θ/deg | d (Å) | I/Imax | (hkl) |
| --- | --- | --- | --- |
| 32.07 | 2.791 | 100 | 3 1 0 |
| 27.68 | 3.222 | 96 | 1 2 1 |
| 45.99 | 1.973 | 73 | 3 1 2 |
| 54.53 | 1.683 | 46 | 5 0 1 |
| 57.17 | 1.611 | 26 | 2 4 2 |
| 85.17 | 1.139 | 26 | 2 4 4 |
| 76.27 | 1.248 | 22 | 3 1 4 |
| 74.04 | 1.280 | 19 | 5 0 3 |
| 76.35 | 1.247 | 11 | 5 5 0 |
| 67.12 | 1.395 | 8 | 6 2 0 |

```
data_Tm4PaP5
_cell_length_a 8.820
_cell_length_b 8.820
_cell_length_c 5.588
_cell_angle_alpha 90.00
_cell_angle_beta 90.00
_cell_angle_gamma 90.00
_symmetry_space_group_name_H-M 'I 4/m'
_symmetry_Int_Tables_number 87
_symmetry_space_group_name_Hall '-I 4'
loop_
_atom_site_label
_atom_site_type_symbol
_atom_site_fract_x
_atom_site_fract_y
_atom_site_fract_z
Tm1 Tm 0.100 0.698 0.000
Pa1 Pa 0.000 0.000 0.500
P1 P 0.000 0.000 0.000
P2 P 0.099 0.703 0.500
```